Record 1
Theoretical PXRD pattern
Compound: Si3HgI12
Radiation: Cu Ka
Structure: DFT lattice parameters and positions (GGA-PBE)

Structure:
a = 13.4607 Å, b = 13.4607 Å, c = 38.4237 Å
α = 90.00°, β = 90.00°, γ = 120.00°
Space group R3c (No. 161, hexagonal axes)
One atom of each set of equivalent atoms:
Si: 0.0072 0.3481 0.0000
Hg: 0.0000 0.0000 0.2689
I: 0.0944 0.3513 0.2753
I: 0.1569 0.3785 0.3778
I: 0.1904 0.3988 0.5085
I: 0.1945 0.4101 0.6717

Main lines, low angle first (15° ≤ 2θ ≤ 90°):
- 2θ 22.89, intensity 67, (3 0 0)
- 2θ 24.01, intensity 50, (2 0 8)
- 2θ 26.49, intensity 52, (2 2 0)
- 2θ 26.84, intensity 100, (3 0 6)
- 2θ 27.47, intensity 46, (1 2 8)
- 2θ 27.69, intensity 32, (1 3 1)
- 2θ 27.82, intensity 64, (0 0 12)
- 2θ 50.96, intensity 46, (5 2 6)

Record 2
Theoretical PXRD pattern
Compound: AcSm2S4
Radiation: Cu Ka
Structure: DFT lattice parameters and positions (GGA-PBE)

Structure:
a = 4.048 Å, b = 13.319 Å, c = 13.567 Å
α = 90.00°, β = 90.00°, γ = 90.00°
Space group Cmcm (No. 63)
One atom of each set of equivalent atoms:
Ac: 0.000 0.121 0.250
Sm: 0.000 0.371 0.065
S: 0.000 0.000 0.000
S: 0.000 0.272 0.619
S: 0.000 0.458 0.250

Main lines, low angle first (15° ≤ 2θ ≤ 90°):
- 2θ 23.78, intensity 100, (0 2 3)
- 2θ 23.89, intensity 36, (1 1 1)
- 2θ 26.50, intensity 38, (1 1 2)
- 2θ 26.77, intensity 28, (0 4 0)
- 2θ 30.61, intensity 47, (1 3 1)
- 2θ 32.72, intensity 52, (1 3 2)
- 2θ 40.60, intensity 34, (1 1 5)
- 2θ 45.51, intensity 30, (0 6 3)

Record 3
Theoretical PXRD pattern
Compound: Li4TcBr
Radiation: Cu Ka
Structure: DFT lattice parameters and positions (GGA-PBE)

Structure:
a = 7.435 Å, b = 7.435 Å, c = 7.435 Å
α = 90.00°, β = 90.00°, γ = 90.00°
Space group F-43m (No. 216)
One atom of each set of equivalent atoms:
Li: 0.124 0.124 0.124
Tc: 0.250 0.250 0.750
Br: 0.000 0.000 0.500

Main lines, low angle first (15° ≤ 2θ ≤ 90°):
- 2θ 20.69, intensity 100, (1 1 1)
- 2θ 34.11, intensity 97, (2 2 0)
- 2θ 40.23, intensity 72, (3 1 1)
- 2θ 53.74, intensity 22, (3 3 1)
- 2θ 61.06, intensity 35, (4 2 2)
- 2θ 65.20, intensity 22, (3 3 3)
- 2θ 75.68, intensity 16, (5 3 1)
- 2θ 81.96, intensity 15, (6 2 0)

Record 4
Theoretical PXRD pattern
Compound: CdHg
Radiation: Cu Ka
Structure: DFT lattice parameters and positions (GGA-PBE)

Structure:
a = 10.526 Å, b = 8.946 Å, c = 6.285 Å
α = 90.00°, β = 90.00°, γ = 90.00°
Space group Pbcm (No. 57)
One atom of each set of equivalent atoms:
Cd: 0.003 0.004 0.250
Cd: 0.337 0.540 0.250
Cd: 0.471 0.250 0.000
Hg: 0.147 0.750 0.000
Hg: 0.189 0.244 0.750
Hg: 0.352 0.531 0.750

Main lines, low angle first (15° ≤ 2θ ≤ 90°):
- 2θ 31.34, intensity 21, (1 1 2)
- 2θ 32.43, intensity 100, (3 2 0)
- 2θ 34.73, intensity 43, (2 1 2)
- 2θ 34.89, intensity 30, (0 2 2)
- 2θ 38.46, intensity 23, (3 0 2)
- 2θ 40.33, intensity 26, (0 4 0)
- 2θ 42.67, intensity 30, (1 3 2)
- 2θ 68.74, intensity 23, (3 2 4)

Record 5
Theoretical PXRD pattern
Compound: RbNpSn2I8
Radiation: Cu Ka
Structure: DFT lattice parameters and positions (GGA-PBE)

Structure:
a = 7.465 Å, b = 7.829 Å, c = 9.729 Å
α = 89.88°, β = 89.87°, γ = 88.90°
Space group P-1 (No. 2)
One atom of each set of equivalent atoms:
Rb: 0.000 0.000 0.000
Np: 0.000 0.000 0.500
Sn: 0.500 0.500 0.249
I: 0.242 0.326 0.500
I: 0.257 0.842 0.719
I: 0.258 0.843 0.281
I: 0.270 0.378 0.001

Main lines, low angle first (15° ≤ 2θ ≤ 90°):
- 2θ 16.25, intensity 58, (1 1 0)
- 2θ 21.81, intensity 54, (1 0 -2)
- 2θ 24.52, intensity 61, (1 1 -2)
- 2θ 24.74, intensity 100, (1 -1 2)
- 2θ 25.49, intensity 58, (1 2 0)
- 2θ 32.22, intensity 54, (2 1 -2)
- 2θ 32.49, intensity 69, (-2 1 2)
- 2θ 39.18, intensity 77, (0 3 -2)

Record 6
Theoretical PXRD pattern
Compound: LiInGe
Radiation: Cu Ka
Structure: DFT lattice parameters and positions (GGA-PBE)

Structure:
a = 3.076 Å, b = 4.218 Å, c = 4.710 Å
α = 90.00°, β = 90.00°, γ = 90.00°
Space group Pmmm (No. 47)
One atom of each set of equivalent atoms:
Li: 0.000 0.000 0.000
In: 0.500 0.000 0.500
Ge: 0.500 0.500 0.000

Main lines, low angle first (15° ≤ 2θ ≤ 90°):
- 2θ 28.41, intensity 100, (0 1 1)
- 2θ 29.03, intensity 47, (1 0 0)
- 2θ 38.22, intensity 25, (0 0 2)
- 2θ 41.06, intensity 82, (1 1 1)
- 2θ 42.88, intensity 18, (0 2 0)
- 2θ 48.70, intensity 22, (1 0 2)
- 2θ 52.62, intensity 17, (1 2 0)
- 2θ 66.87, intensity 17, (1 2 2)

Record 7
Theoretical PXRD pattern
Compound: ThCdCoH6
Radiation: Cu Ka
Structure: DFT lattice parameters and positions (GGA-PBE)

Structure:
a = 4.5887 Å, b = 4.5887 Å, c = 4.4339 Å
α = 90.00°, β = 90.00°, γ = 120.00°
Space group P-6m2 (No. 187)
One atom of each set of equivalent atoms:
Th: 0.0000 0.0000 0.0000
Cd: 0.3333 0.6667 0.5000
Co: 0.6667 0.3333 0.5000
H: 0.5279 0.0558 0.2128

Main lines, low angle first (15° ≤ 2θ ≤ 90°):
- 2θ 22.37, intensity 19, (1 0 0)
- 2θ 30.20, intensity 100, (1 0 1)
- 2θ 39.27, intensity 40, (1 1 0)
- 2θ 40.70, intensity 12, (0 0 2)
- 2θ 50.32, intensity 25, (2 0 1)
- 2θ 57.84, intensity 26, (1 1 2)
- 2θ 65.63, intensity 22, (2 1 1)
- 2θ 67.63, intensity 10, (1 0 3)

Record 8
Theoretical PXRD pattern
Compound: Rb2SrVS4
Radiation: Cu Ka
Structure: DFT lattice parameters and positions (GGA-PBE)

Structure:
a = 8.648 Å, b = 9.524 Å, c = 6.413 Å
α = 90.00°, β = 90.00°, γ = 90.00°
Space group Pmn2_1 (No. 31)
One atom of each set of equivalent atoms:
Rb: 0.212 0.139 0.000
Sr: 0.000 0.401 0.488
V: 0.000 0.675 0.920
S: 0.000 0.445 0.999
S: 0.000 0.688 0.578
S: 0.222 0.785 0.009

Main lines, low angle first (15° ≤ 2θ ≤ 90°):
- 2θ 22.58, intensity 100, (2 1 0)
- 2θ 23.27, intensity 69, (0 2 1)
- 2θ 26.57, intensity 27, (2 1 1)
- 2θ 27.83, intensity 83, (0 0 2)
- 2θ 35.07, intensity 33, (2 3 0)
- 2θ 36.13, intensity 49, (2 1 2)
- 2θ 37.84, intensity 35, (0 4 0)
- 2θ 45.34, intensity 24, (2 3 2)

Record 9
Theoretical PXRD pattern
Compound: PmNd3Dy4
Radiation: Cu Ka
Structure: DFT lattice parameters and positions (GGA-PBE)

Structure:
a = 11.596 Å, b = 7.328 Å, c = 6.320 Å
α = 90.00°, β = 90.00°, γ = 90.00°
Space group Pmn2_1 (No. 31)
One atom of each set of equivalent atoms:
Pm: 0.000 0.128 0.000
Nd: 0.000 0.872 0.500
Nd: 0.250 0.127 0.335
Dy: 0.000 0.378 0.501
Dy: 0.000 0.622 0.001
Dy: 0.250 0.378 0.834

Main lines, low angle first (15° ≤ 2θ ≤ 90°):
- 2θ 28.18, intensity 24, (0 0 2)
- 2θ 30.84, intensity 25, (4 0 0)
- 2θ 32.21, intensity 100, (2 2 1)
- 2θ 42.27, intensity 16, (4 0 2)
- 2θ 49.93, intensity 13, (0 2 3)
- 2θ 55.72, intensity 21, (6 2 1)
- 2θ 59.85, intensity 15, (4 2 3)
- 2θ 60.56, intensity 11, (2 4 2)

Record 10
Theoretical PXRD pattern
Compound: NdSm5Tm3
Radiation: Cu Ka
Structure: DFT lattice parameters and positions (GGA-PBE)

Structure:
a = 16.382 Å, b = 6.727 Å, c = 11.533 Å
α = 90.00°, β = 110.03°, γ = 90.00°
Space group C2/c (No. 15)
One atom of each set of equivalent atoms:
Nd: 0.000 0.243 0.250
Sm: 0.000 0.312 0.750
Sm: 0.112 0.494 0.052
Sm: 0.171 0.088 0.846
Tm: 0.000 0.000 0.000
Tm: 0.240 0.402 0.373

Main lines, low angle first (15° ≤ 2θ ≤ 90°):
- 2θ 30.82, intensity 40, (3 1 2)
- 2θ 31.04, intensity 100, (2 0 -4)
- 2θ 31.27, intensity 40, (0 2 2)
- 2θ 31.36, intensity 17, (2 2 -2)
- 2θ 31.97, intensity 11, (5 1 0)
- 2θ 32.84, intensity 13, (4 0 2)
- 2θ 35.59, intensity 15, (4 2 -2)
- 2θ 55.33, intensity 18, (7 1 -6)

Record 11
Theoretical PXRD pattern
Compound: Li5Pr2Cd5
Radiation: Cu Ka
Structure: DFT lattice parameters and positions (GGA-PBE)

Structure:
a = 4.850 Å, b = 5.536 Å, c = 10.078 Å
α = 90.00°, β = 90.00°, γ = 90.00°
Space group Pmmm (No. 47)
One atom of each set of equivalent atoms:
Li: 0.000 0.000 0.000
Li: 0.000 0.248 0.253
Pr: 0.500 0.000 0.500
Pr: 0.500 0.500 0.000
Cd: 0.000 0.500 0.500
Cd: 0.500 0.000 0.166
Cd: 0.500 0.500 0.322

Main lines, low angle first (15° ≤ 2θ ≤ 90°):
- 2θ 18.29, intensity 70, (1 0 0)
- 2θ 31.14, intensity 39, (0 1 3)
- 2θ 32.34, intensity 34, (0 2 0)
- 2θ 36.36, intensity 100, (1 1 3)
- 2θ 37.07, intensity 27, (2 0 0)
- 2θ 37.41, intensity 26, (1 2 0)
- 2θ 49.17, intensity 22, (2 1 3)
- 2θ 60.33, intensity 23, (1 3 3)

Record 12
Theoretical PXRD pattern
Compound: Pm3Si3Tc
Radiation: Cu Ka
Structure: DFT lattice parameters and positions (GGA-PBE)

Structure:
a = 11.046 Å, b = 4.283 Å, c = 14.033 Å
α = 90.00°, β = 111.79°, γ = 90.00°
Space group C2/m (No. 12)
One atom of each set of equivalent atoms:
Pm: 0.021 0.000 0.374
Pm: 0.104 0.000 0.920
Pm: 0.249 0.000 0.229
Si: 0.059 0.500 0.237
Si: 0.106 0.500 0.073
Si: 0.141 0.500 0.543
Tc: 0.243 0.500 0.413

Main lines, low angle first (15° ≤ 2θ ≤ 90°):
- 2θ 22.50, intensity 53, (1 1 0)
- 2θ 26.41, intensity 42, (2 0 -4)
- 2θ 32.19, intensity 71, (3 1 -1)
- 2θ 32.31, intensity 54, (3 1 -2)
- 2θ 32.74, intensity 100, (1 1 3)
- 2θ 33.03, intensity 68, (1 1 -4)
- 2θ 40.01, intensity 38, (3 1 2)
- 2θ 42.20, intensity 53, (0 2 0)